[1]
Diffraction record for CrWO6. The X-ray diffraction stick pattern is simulated, not measured: it uses a crystal structure in Alexandria, relaxed with GGA+U and Cu Kα.
Kinematic intensities with the Lorentz-polarization factor, no thermal factor.

Structure:
Unit cell a=5.2682 b=5.2682 c=5.3815 alpha=120.72 beta=120.72 gamma=61.68
Atoms (fractional coordinates):
Cr1 0.0000 0.0000 0.0000
W1 0.4833 0.4833 0.4679
O1 0.2113 0.7209 0.6613
O2 0.2417 0.2417 0.1054
O3 0.2832 0.8000 0.2272
O4 0.7209 0.2113 0.6613
O5 0.7649 0.7649 0.7688
O6 0.8000 0.2832 0.2272

Largest 6 diffraction maxima, by angle, 2θ = 10–80°:
| Position (°2θ) | I (rel.) |
| --- | --- |
| 20.51 | 55 |
| 23.33 | 100 |
| 24.48 | 43 |
| 34.08 | 46 |
| 39.37 | 24 |
| 54.34 | 19 |

[2]
Diffraction record for CrW3O12. The X-ray diffraction stick pattern is simulated, not measured: it uses a crystal structure in Alexandria, relaxed with GGA+U and Cu Kα.
Kinematic intensities with the Lorentz-polarization factor, no thermal factor.

Structure:
Unit cell a=5.3337 b=5.4384 c=7.5555 alpha=89.20 beta=89.96 gamma=89.96
Atoms (fractional coordinates):
Cr1 0.0000 0.0000 0.0000
W1 0.0080 0.0698 0.4997
W2 0.4948 0.5034 0.0326
W3 0.5011 0.5709 0.5337
O1 0.0702 0.0603 0.2685
O2 0.2166 0.3257 0.9984
O3 0.2387 0.8062 0.5651
O4 0.2643 0.8387 0.9904
O5 0.2668 0.3038 0.5603
O6 0.4438 0.5757 0.2797
O7 0.5657 0.5648 0.7838
O8 0.7269 0.2703 0.0645
O9 0.7410 0.8335 0.5011
O10 0.7687 0.3320 0.4994
O11 0.7901 0.7876 0.0574
O12 0.9349 0.0561 0.7890

Largest 6 diffraction maxima, by angle, 2θ = 10–80°:
| Position (°2θ) | I (rel.) |
| --- | --- |
| 23.36 | 100 |
| 23.55 | 49 |
| 33.25 | 27 |
| 33.59 | 36 |
| 47.77 | 17 |
| 60.05 | 12 |

[3]
Diffraction record for Y2Cr3O12. The X-ray diffraction stick pattern is simulated, not measured: it uses a crystal structure in Alexandria, relaxed with GGA+U and Cu Kα.
Kinematic intensities with the Lorentz-polarization factor, no thermal factor.

Structure:
Unit cell a=5.0947 b=6.8570 c=14.2329 alpha=84.27 beta=80.23 gamma=68.66
Atoms (fractional coordinates):
Y1 0.1204 0.2058 0.0462
Y2 0.1367 0.8699 0.3733
Y3 0.8633 0.1301 0.6267
Y4 0.8796 0.7942 0.9538
Cr1 0.3473 0.9825 0.7983
Cr2 0.3728 0.6199 0.1207
Cr3 0.4035 0.2745 0.4523
Cr4 0.5965 0.7255 0.5477
Cr5 0.6272 0.3801 0.8793
Cr6 0.6527 0.0175 0.2017
O1 0.1352 0.0249 0.9086
O2 0.1674 0.5432 0.0593
O3 0.1744 0.9012 0.7309
O4 0.2000 0.6886 0.2269
O5 0.2063 0.2796 0.5581
O6 0.2490 0.8604 0.5307
O7 0.2996 0.1479 0.3821
O8 0.3230 0.5706 0.8702
O9 0.3367 0.1852 0.1787
O10 0.3667 0.5139 0.4080
O11 0.4043 0.1867 0.7422
O12 0.4506 0.8223 0.0565
O13 0.5494 0.1777 0.9435
O14 0.5957 0.8133 0.2578
O15 0.6333 0.4861 0.5920
O16 0.6633 0.8148 0.8213
O17 0.6770 0.4294 0.1298
O18 0.7004 0.8521 0.6179
O19 0.7510 0.1396 0.4693
O20 0.7937 0.7204 0.4419
O21 0.8000 0.3114 0.7731
O22 0.8256 0.0988 0.2691
O23 0.8326 0.4568 0.9407
O24 0.8648 0.9751 0.0914

Largest 6 diffraction maxima, by angle, 2θ = 10–80°:
| Position (°2θ) | I (rel.) |
| --- | --- |
| 12.63 | 23 |
| 13.88 | 30 |
| 28.83 | 52 |
| 29.18 | 100 |
| 29.31 | 51 |
| 30.29 | 28 |